Structure and computed X-ray diffraction stick pattern of Ba2Zn3Cu4 (a crystal structure in Alexandria, relaxed with GGA-PBE; Cu Kα).
Lines closer than 0.1° are merged.

Structural model:
```
data_Ba2Zn3Cu4
_cell_length_a 6.0087
_cell_length_b 9.3795
_cell_length_c 26.6182
_cell_angle_alpha 90.00
_cell_angle_beta 90.00
_cell_angle_gamma 90.00
_space_group_name_H-M_alt 'F d d d'
_space_group_IT_number 70
loop_
_space_group_symop_operation_xyz
'x,y,z'
'-x,-y,-z'
'-x+1/4,-y+1/4,z'
'x+1/4,y+1/4,-z'
'x,-y+1/4,-z+1/4'
'-x,y+1/4,z+1/4'
'-x+1/4,y,-z+1/4'
'x+1/4,-y,z+1/4'
'x,y+1/2,z+1/2'
'-x,-y+1/2,-z+1/2'
'-x+1/4,-y+3/4,z+1/2'
'x+1/4,y+3/4,-z+1/2'
'x,-y+3/4,-z+3/4'
'-x,y+3/4,z+3/4'
'-x+1/4,y+1/2,-z+3/4'
'x+1/4,-y+1/2,z+3/4'
'x+1/2,y,z+1/2'
'-x+1/2,-y,-z+1/2'
'-x+3/4,-y+1/4,z+1/2'
'x+3/4,y+1/4,-z+1/2'
'x+1/2,-y+1/4,-z+3/4'
'-x+1/2,y+1/4,z+3/4'
'-x+3/4,y,-z+3/4'
'x+3/4,-y,z+3/4'
'x+1/2,y+1/2,z'
'-x+1/2,-y+1/2,-z'
'-x+3/4,-y+3/4,z'
'x+3/4,y+3/4,-z'
'x+1/2,-y+3/4,-z+1/4'
'-x+1/2,y+3/4,z+1/4'
'-x+3/4,y+1/2,-z+1/4'
'x+3/4,-y+1/2,z+1/4'
loop_
_atom_site_label
_atom_site_type_symbol
_atom_site_fract_x
_atom_site_fract_y
_atom_site_fract_z
Ba1 Ba 0.1250 0.1250 0.0483
Zn1 Zn 0.1250 0.1250 0.3711
Zn2 Zn 0.1250 0.1250 0.6250
Cu1 Cu 0.0831 0.2669 0.7049
```

Principal peaks in the range 2θ = 10–90°, low angle first:
(0 2 6), 2θ 27.68, rel. 42; (1 3 1), 2θ 32.46, rel. 59; (2 2 0), 2θ 35.49, rel. 56; (2 0 6), 2θ 36.11, rel. 100; (1 3 5), 2θ 36.53, rel. 51; (1 3 7), 2θ 40.25, rel. 68; (0 0 12), 2θ 40.67, rel. 52; (2 2 12), 2θ 55.06, rel. 26

=====

Structure and computed X-ray diffraction stick pattern of Ba3Zn4Cu2 (a crystal structure in Alexandria, relaxed with GGA-PBE; Cu Kα).
Lines closer than 0.1° are merged.

Structural model:
```
data_Ba3Zn4Cu2
_cell_length_a 4.6165
_cell_length_b 4.6165
_cell_length_c 27.0067
_cell_angle_alpha 90.00
_cell_angle_beta 90.00
_cell_angle_gamma 120.00
_space_group_name_H-M_alt 'P -6 m 2'
_space_group_IT_number 187
_space_group_name_Hall 'P -6 2'
loop_
_atom_site_label
_atom_site_type_symbol
_atom_site_fract_x
_atom_site_fract_y
_atom_site_fract_z
Ba1 Ba 0.0000 0.0000 0.0772
Ba2 Ba 0.0000 0.0000 0.2514
Ba3 Ba 0.0000 0.0000 0.4144
Zn1 Zn 0.3333 0.6667 0.1657
Zn2 Zn 0.3333 0.6667 0.3327
Zn3 Zn 0.3333 0.6667 0.5000
Zn4 Zn 0.6667 0.3333 0.1655
Zn5 Zn 0.6667 0.3333 0.5000
Cu1 Cu 0.3333 0.6667 0.0000
Cu2 Cu 0.6667 0.3333 0.0000
Cu3 Cu 0.6667 0.3333 0.3327
```

Principal peaks in the range 2θ = 10–90°, low angle first:
(1 0 0), 2θ 22.24, rel. 9; (1 0 6), 2θ 29.89, rel. 100; (1 1 0), 2θ 39.02, rel. 45; (0 0 12), 2θ 40.06, rel. 13; (2 0 6), 2θ 49.92, rel. 24; (1 1 12), 2θ 57.16, rel. 27; (2 1 6), 2θ 65.12, rel. 21; (3 0 12), 2θ 84.49, rel. 9

=====

Structure and computed X-ray diffraction stick pattern of Ba2Zn4Cu5 (a crystal structure in Alexandria, relaxed with GGA-PBE; Cu Kα).
Lines closer than 0.1° are merged.

Structural model:
```
data_Ba2Zn4Cu5
_cell_length_a 13.4446
_cell_length_b 5.1557
_cell_length_c 8.2361
_cell_angle_alpha 90.00
_cell_angle_beta 126.90
_cell_angle_gamma 90.00
_space_group_name_H-M_alt 'C 1 2/m 1'
_space_group_IT_number 12
_space_group_name_Hall '-C 2y'
loop_
_atom_site_label
_atom_site_type_symbol
_atom_site_fract_x
_atom_site_fract_y
_atom_site_fract_z
Ba1 Ba 0.1985 0.0000 0.1267
Zn1 Zn 0.1076 0.0000 0.6530
Zn2 Zn 0.2349 0.5000 0.4154
Cu1 Cu 0.0000 0.5000 0.0000
Cu2 Cu 0.0458 0.2564 0.3225
```

Principal peaks in the range 2θ = 10–90°, low angle first:
(3 1 -1), 2θ 26.39, rel. 100; (1 1 -2), 2θ 28.87, rel. 73; (2 0 -3), 2θ 33.57, rel. 59; (1 1 2), 2θ 37.34, rel. 97; (2 2 0), 2θ 38.74, rel. 62; (5 1 -3), 2θ 41.07, rel. 72; (2 2 -2), 2θ 41.32, rel. 60; (6 0 -1), 2θ 43.67, rel. 70

=====

Structure and computed X-ray diffraction stick pattern of Ba2ZnCu2 (a crystal structure in Alexandria, relaxed with GGA-PBE; Cu Kα).
Lines closer than 0.1° are merged.

Structural model:
```
data_Ba2ZnCu2
_cell_length_a 8.1280
_cell_length_b 8.1280
_cell_length_c 4.4475
_cell_angle_alpha 90.00
_cell_angle_beta 90.00
_cell_angle_gamma 90.00
_space_group_name_H-M_alt 'P 4/m b m'
_space_group_IT_number 127
_space_group_name_Hall '-P 4 2ab'
loop_
_atom_site_label
_atom_site_type_symbol
_atom_site_fract_x
_atom_site_fract_y
_atom_site_fract_z
Ba1 Ba 0.1870 0.3130 0.0000
Zn1 Zn 0.0000 0.0000 0.5000
Cu1 Cu 0.1070 0.6070 0.5000
```

Principal peaks in the range 2θ = 10–90°, low angle first:
(2 0 1), 2θ 29.78, rel. 74; (2 2 0), 2θ 31.12, rel. 17; (2 1 1), 2θ 31.79, rel. 100; (3 1 0), 2θ 34.91, rel. 27; (0 0 2), 2θ 40.57, rel. 22; (4 1 0), 2θ 46.04, rel. 21; (4 1 1), 2θ 50.65, rel. 17; (3 3 1), 2θ 51.98, rel. 22

=====

Structure and computed X-ray diffraction stick pattern of Ba2Zn6Cu (a crystal structure in Alexandria, relaxed with GGA-PBE; Cu Kα).
Lines closer than 0.1° are merged.

Structural model:
```
data_Ba2Zn6Cu
_cell_length_a 11.1960
_cell_length_b 6.4580
_cell_length_c 5.8968
_cell_angle_alpha 90.00
_cell_angle_beta 90.05
_cell_angle_gamma 90.00
_space_group_name_H-M_alt 'C 1 2/m 1'
_space_group_IT_number 12
_space_group_name_Hall '-C 2y'
loop_
_atom_site_label
_atom_site_type_symbol
_atom_site_fract_x
_atom_site_fract_y
_atom_site_fract_z
Ba1 Ba 0.1667 0.0000 0.1721
Zn1 Zn 0.0766 0.2694 0.6722
Zn2 Zn 0.1538 0.5000 0.3282
Cu1 Cu 0.0000 0.5000 0.0000
```

Principal peaks in the range 2θ = 10–90°, low angle first:
(2 0 1), 2θ 21.90, rel. 18; (3 1 -1), 2θ 31.58, rel. 32; (2 2 0), 2θ 31.99, rel. 17; (1 1 2), 2θ 34.38, rel. 31; (4 0 1), 2θ 35.52, rel. 100; (2 2 2), 2θ 44.65, rel. 15; (4 2 2), 2θ 53.31, rel. 28; (6 2 0), 2θ 57.02, rel. 23

=====

Structure and computed X-ray diffraction stick pattern of Ba2Zn5Cu4 (a crystal structure in Alexandria, relaxed with GGA-PBE; Cu Kα).
Lines closer than 0.1° are merged.

Structural model:
```
data_Ba2Zn5Cu4
_cell_length_a 13.0965
_cell_length_b 5.5607
_cell_length_c 8.0635
_cell_angle_alpha 90.00
_cell_angle_beta 127.58
_cell_angle_gamma 90.00
_space_group_name_H-M_alt 'C 1 2/m 1'
_space_group_IT_number 12
_space_group_name_Hall '-C 2y'
loop_
_atom_site_label
_atom_site_type_symbol
_atom_site_fract_x
_atom_site_fract_y
_atom_site_fract_z
Ba1 Ba 0.2259 0.0000 0.2962
Zn1 Zn 0.0000 0.5000 0.0000
Zn2 Zn 0.0507 0.2488 0.7650
Cu1 Cu 0.1084 0.0000 0.5570
Cu2 Cu 0.2248 0.5000 0.0647
```

Principal peaks in the range 2θ = 10–90°, low angle first:
(1 1 1), 2θ 25.90, rel. 100; (3 1 -2), 2θ 28.72, rel. 58; (4 0 -3), 2θ 34.54, rel. 74; (2 2 0), 2θ 36.67, rel. 78; (5 1 -2), 2θ 38.01, rel. 93; (2 2 -2), 2θ 39.37, rel. 73; (1 1 -3), 2θ 41.05, rel. 48; (4 0 1), 2θ 45.01, rel. 43

=====

Structure and computed X-ray diffraction stick pattern of Ba2Dy3ErO8 (a crystal structure in Alexandria, relaxed with GGA-PBE; Cu Kα).
Lines closer than 0.1° are merged.

Structural model:
```
data_Ba2Dy3ErO8
_cell_length_a 6.9996
_cell_length_b 6.9996
_cell_length_c 18.0129
_cell_angle_alpha 90.00
_cell_angle_beta 90.00
_cell_angle_gamma 120.00
_space_group_name_H-M_alt 'R 3 m'
_space_group_IT_number 160
_space_group_name_Hall 'R 3 -2"'
loop_
_atom_site_label
_atom_site_type_symbol
_atom_site_fract_x
_atom_site_fract_y
_atom_site_fract_z
Ba1 Ba 0.0000 0.0000 0.0000
Ba2 Ba 0.0000 0.0000 0.3790
Dy1 Dy 0.0082 0.5041 0.8781
Er1 Er 0.0000 0.0000 0.7600
O1 O 0.0000 0.0000 0.1471
O2 O 0.0000 0.0000 0.6228
O3 O 0.1692 0.3383 0.4728
O4 O 0.1871 0.3743 0.9415
```

Principal peaks in the range 2θ = 10–90°, low angle first:
(1 0 4), 2θ 24.63, rel. 36; (0 1 5), 2θ 28.83, rel. 63; (1 1 3), 2θ 29.54, rel. 100; (0 2 1), 2θ 29.89, rel. 64; (2 0 2), 2θ 31.13, rel. 47; (1 2 5), 2θ 47.00, rel. 35; (2 0 8), 2θ 50.49, rel. 47; (2 2 0), 2θ 52.28, rel. 45